# 1
For Ti7B8Ir2Rh4, a cell relaxed with GGA-PBE gives the simulated powder X-ray diffraction pattern in this record (Cu Kα (λ = 1.5418 Å)).
Peak positions follow from Bragg's law for the DFT cell and can differ from measured ones.

Main lines, by angle (10° ≤ 2θ ≤ 80°):
d/Å	2theta	intensity
8.032	11.0	100
3.187	28.0	20
3.036	29.4	37
2.962	30.2	39
2.228	40.5	74
2.198	41.1	99
2.050	44.2	32
1.875	48.6	23
1.843	49.5	15
1.826	49.9	21
1.594	57.8	27
1.296	73.0	25

Structure:
Cell lengths 9.270, 3.187, 9.276 Å; angles 90.00, 119.96, 90.00 degrees
Fractional coordinates of all 21 atoms:
Ti  0.000  0.000  0.000
Ti  0.085  0.000  0.359
Ti  0.365  0.000  0.809
Ti  0.450  0.000  0.171
Ti  0.637  0.000  0.723
Ti  0.724  0.000  0.083
Ti  0.809  0.000  0.444
B  0.057  0.000  0.751
B  0.391  0.000  0.417
B  0.507  0.500  0.020
B  0.572  0.500  0.867
B  0.660  0.500  0.237
B  0.789  0.500  0.931
B  0.877  0.500  0.300
B  0.941  0.500  0.148
Ir  0.217  0.500  0.929
Ir  0.879  0.500  0.731
Rh  0.077  0.500  0.591
Rh  0.234  0.500  0.240
Rh  0.370  0.500  0.575
Rh  0.569  0.500  0.438



# 2
For Hg2GeTe4, a cell relaxed with GGA-PBE gives the simulated powder X-ray diffraction pattern in this record (Cu Kα (λ = 1.5418 Å)).
Peak positions follow from Bragg's law for the DFT cell and can differ from measured ones.

Main lines, by angle (10° ≤ 2θ ≤ 80°):
d/Å	2theta	intensity
4.618	19.2	20
3.644	24.4	100
2.860	31.3	23
2.496	36.0	13
2.309	39.0	30
2.195	41.1	46
1.950	46.6	36
1.818	50.2	11
1.633	56.4	10
1.428	65.3	10
1.310	72.1	18
1.252	76.0	8

Structure:
Cell lengths 6.530, 6.530, 11.864 Å; angles 90.00, 90.00, 90.00 degrees
Fractional coordinates of all 14 atoms:
Hg  0.000  0.500  0.250
Hg  0.000  0.500  0.750
Hg  0.500  0.000  0.250
Hg  0.500  0.000  0.750
Ge  0.000  0.000  0.000
Ge  0.500  0.500  0.500
Te  0.248  0.248  0.605
Te  0.248  0.752  0.395
Te  0.252  0.252  0.105
Te  0.252  0.748  0.895
Te  0.748  0.252  0.895
Te  0.748  0.748  0.105
Te  0.752  0.248  0.395
Te  0.752  0.752  0.605



# 3
For ThH4Rh3, a cell relaxed with GGA-PBE gives the simulated powder X-ray diffraction pattern in this record (Cu Kα (λ = 1.5418 Å)).
Peak positions follow from Bragg's law for the DFT cell and can differ from measured ones.

Main lines, by angle (10° ≤ 2θ ≤ 80°):
d/Å	2theta	intensity
3.905	22.8	26
2.761	32.4	42
2.470	36.4	54
2.254	40.0	100
1.952	46.5	5
1.746	52.4	6
1.532	60.4	12
1.476	63.0	53
1.381	67.9	14
1.302	72.6	4
1.235	77.3	15
1.205	79.5	11

Structure:
Cell lengths 5.522, 5.522, 5.522 Å; angles 90.00, 90.00, 90.00 degrees
Fractional coordinates of all 16 atoms:
Th  0.000  0.000  0.000
Th  0.500  0.500  0.500
H  0.250  0.250  0.250
H  0.250  0.250  0.750
H  0.250  0.750  0.250
H  0.250  0.750  0.750
H  0.750  0.250  0.250
H  0.750  0.250  0.750
H  0.750  0.750  0.250
H  0.750  0.750  0.750
Rh  0.000  0.250  0.500
Rh  0.000  0.750  0.500
Rh  0.250  0.500  0.000
Rh  0.500  0.000  0.250
Rh  0.500  0.000  0.750
Rh  0.750  0.500  0.000



# 4
For Tb8Y6Pu, a cell relaxed with GGA-PBE gives the simulated powder X-ray diffraction pattern in this record (Cu Kα (λ = 1.5418 Å)).
Peak positions follow from Bragg's law for the DFT cell and can differ from measured ones.

Main lines, by angle (10° ≤ 2θ ≤ 80°):
d/Å	2theta	intensity
6.213	14.3	20
2.927	30.5	28
2.841	31.5	100
2.827	31.7	71
2.736	32.7	52
2.560	35.1	24
2.436	36.9	26
2.259	39.9	14
1.917	47.4	12
1.713	53.5	19
1.656	55.5	15
1.529	60.5	21

Structure:
Cell lengths 8.582, 8.582, 8.582 Å; angles 63.52, 63.52, 63.52 degrees
Fractional coordinates of all 15 atoms:
Tb  0.076  0.076  0.076
Tb  0.217  0.253  0.611
Tb  0.253  0.611  0.217
Tb  0.389  0.783  0.747
Tb  0.611  0.217  0.253
Tb  0.747  0.389  0.783
Tb  0.783  0.747  0.389
Tb  0.924  0.924  0.924
Y  0.045  0.729  0.607
Y  0.271  0.393  0.955
Y  0.393  0.955  0.271
Y  0.607  0.045  0.729
Y  0.729  0.607  0.045
Y  0.955  0.271  0.393
Pu  0.500  0.500  0.500



# 5
For Pm5YTm5, a cell relaxed with GGA-PBE gives the simulated powder X-ray diffraction pattern in this record (Cu Kα (λ = 1.5418 Å)).
Peak positions follow from Bragg's law for the DFT cell and can differ from measured ones.

Main lines, by angle (10° ≤ 2θ ≤ 80°):
d/Å	2theta	intensity
3.144	28.4	100
3.029	29.5	86
2.934	30.5	29
2.694	33.3	40
2.568	34.9	44
2.561	35.0	50
2.398	37.5	50
1.959	46.3	28
1.770	51.6	38
1.645	55.9	25
1.515	61.2	31
1.471	63.2	20

Structure:
Cell lengths 6.059, 6.059, 11.781 Å; angles 90.00, 90.00, 120.00 degrees
Fractional coordinates of all 11 atoms:
Pm  0.000  0.000  0.000
Pm  0.333  0.667  0.315
Pm  0.333  0.667  0.685
Pm  0.667  0.333  0.153
Pm  0.667  0.333  0.847
Y  0.333  0.667  0.000
Tm  0.000  0.000  0.266
Tm  0.000  0.000  0.734
Tm  0.333  0.166  0.500
Tm  0.834  0.166  0.500
Tm  0.834  0.667  0.500



# 6
For In2HgHPd6, a cell relaxed with GGA-PBE gives the simulated powder X-ray diffraction pattern in this record (Cu Kα (λ = 1.5418 Å)).
Peak positions follow from Bragg's law for the DFT cell and can differ from measured ones.

Main lines, by angle (10° ≤ 2θ ≤ 80°):
d/Å	2theta	intensity
3.236	27.6	11
2.770	32.3	11
2.750	32.6	18
2.419	37.2	46
2.391	37.6	65
2.256	40.0	49
2.207	40.9	46
2.170	41.6	100
1.724	53.1	13
1.678	54.7	16
1.442	64.6	12
1.342	70.1	11

Structure:
Cell lengths 5.539, 5.553, 6.839 Å; angles 73.82, 66.38, 60.62 degrees
Fractional coordinates of all 10 atoms:
In  0.000  0.000  0.000
In  0.488  0.647  0.537
Hg  0.742  0.827  0.768
H  0.230  0.347  0.234
Pd  0.097  0.656  0.371
Pd  0.391  0.990  0.168
Pd  0.494  0.465  0.961
Pd  0.585  0.162  0.403
Pd  0.900  0.487  0.134
Pd  0.997  0.183  0.576